Calculated powder X-ray diffraction pattern of Li15Al for λ = 1.5418 Å (Cu Kα), from a cell relaxed with PBE.

Cell and atoms:
Unit cell a=5.9651 b=5.9651 c=9.8841 alpha=90.00 beta=90.00 gamma=120.00
Fractional coordinates of all 16 atoms:
Li 0.0000 0.0000 0.0000
Li 0.0003 0.5002 0.5000
Li 0.3257 0.1628 0.2575
Li 0.3257 0.1628 0.7425
Li 0.3333 0.6667 0.2449
Li 0.3333 0.6667 0.7551
Li 0.4998 0.9997 0.5000
Li 0.4998 0.5002 0.5000
Li 0.5021 0.0043 0.0000
Li 0.5021 0.4979 0.0000
Li 0.8372 0.1628 0.2575
Li 0.8372 0.1628 0.7425
Li 0.8372 0.6743 0.2575
Li 0.8372 0.6743 0.7425
Li 0.9957 0.4979 0.0000
Al 0.0000 0.0000 0.5000

Largest 10 diffraction maxima, sorted by position, 2θ = 10–90°:
| 2θ (°) | I/Imax | (hkl) |
| --- | --- | --- |
| 17.2 | 29 | 1 0 0 |
| 19.4 | 42 | 1 0 1 |
| 24.9 | 19 | 1 0 2 |
| 34.7 | 27 | 2 0 0 |
| 36.4 | 27 | 0 0 4 |
| 39.4 | 100 | 2 0 2 |
| 51.2 | 17 | 2 0 4 |
| 62.3 | 17 | 2 2 0 |
| 67.4 | 22 | 2 0 6 |
| 74.3 | 20 | 2 2 4 |